Structure and computed powder XRD pattern of Mg2SiO4 (a crystal structure in the Materials Project, relaxed with PBE; Cu Kα (λ = 1.5418 Å)).

The 10 most intense peaks (10 to 90 degrees two-theta), in order of falling intensity:
d 2.306, intensity 100; d 5.253, intensity 89; d 1.772, intensity 76; d 2.301, intensity 48; d 1.515, intensity 45; d 2.566, intensity 43; d 3.544, intensity 40; d 3.029, intensity 26; d 1.520, intensity 24; d 1.367, intensity 23

Structural model:
Lattice parameters (Å, degrees): 4.8003 6.0809 10.4807 90.00 90.08 90.00
Space group P2/m (No. 10)
Asymmetric unit:
Mg (0.0000, 0.0000, 0.0000) [1 per cell]
Mg (0.0000, 0.0000, 0.5000) [1 per cell]
Mg (0.0000, 0.5000, 0.0000) [1 per cell]
Mg (0.0026, 0.2569, 0.7415) [4 per cell]
Mg (0.5000, 0.5000, 0.5000) [1 per cell]
Si (0.4073, 0.5000, 0.1652) [2 per cell]
Si (0.4182, 0.0000, 0.6693) [2 per cell]
O (0.2418, 0.2851, 0.0972) [4 per cell]
O (0.2433, 0.0000, 0.3331) [2 per cell]
O (0.2441, 0.0000, 0.8085) [2 per cell]
O (0.2549, 0.5000, 0.8336) [2 per cell]
O (0.2720, 0.5000, 0.3134) [2 per cell]
O (0.2753, 0.2159, 0.5935) [4 per cell]

Structure and computed powder XRD pattern of MgSiO3 (a crystal structure in the Materials Project, relaxed with PBE; Cu Kα (λ = 1.5418 Å)).

The 10 most intense peaks (10 to 90 degrees two-theta), in order of falling intensity:
d 1.654, intensity 100; d 2.644, intensity 88; d 2.121, intensity 80; d 3.549, intensity 65; d 1.382, intensity 50; d 2.393, intensity 41; d 1.774, intensity 41; d 1.425, intensity 35; d 4.576, intensity 23; d 1.286, intensity 19

Structural model:
Lattice parameters (Å, degrees): 4.7867 4.7867 13.7294 90.00 90.00 120.00
Space group R-3 (No. 148, hexagonal axes)
Asymmetric unit:
Mg (0.0000, 0.0000, 0.1396) [6 per cell]
Si (0.0000, 0.0000, 0.3421) [6 per cell]
O (0.0114, 0.6299, 0.9265) [18 per cell]

Structure and computed powder XRD pattern of Mg7Si2O14 (a crystal structure in the Materials Project, relaxed with PBE; Cu Kα (λ = 1.5418 Å)).

The 10 most intense peaks (10 to 90 degrees two-theta), in order of falling intensity:
d 2.284, intensity 100; d 2.802, intensity 68; d 1.491, intensity 65; d 3.659, intensity 53; d 2.026, intensity 47; d 1.561, intensity 47; d 3.944, intensity 39; d 2.947, intensity 22; d 2.516, intensity 19; d 1.777, intensity 16

Structural model:
Lattice parameters (Å, degrees): 7.8877 7.8877 9.8009 90.00 90.00 120.00
Space group P6_3 (No. 173)
Asymmetric unit:
Mg (0.0249, 0.2412, 0.0000) [6 per cell]
Mg (0.0776, 0.4631, 0.7293) [6 per cell]
Mg (0.3333, 0.6667, 0.0256) [2 per cell]
Si (0.0000, 0.0000, 0.2130) [2 per cell]
Si (0.3333, 0.6667, 0.4422) [2 per cell]
O (0.0000, 0.0000, 0.3814) [2 per cell]
O (0.0261, 0.2014, 0.6391) [6 per cell]
O (0.0854, 0.4728, 0.1128) [6 per cell]
O (0.1389, 0.6762, 0.3868) [6 per cell]
O (0.1889, 0.7178, 0.8682) [6 per cell]
O (0.3333, 0.6667, 0.6119) [2 per cell]

Structure and computed powder XRD pattern of Mg3Si2O9 (a crystal structure in the Materials Project, relaxed with PBE; Cu Kα (λ = 1.5418 Å)).

The 10 most intense peaks (10 to 90 degrees two-theta), in order of falling intensity:
d 7.323, intensity 100; d 3.662, intensity 70; d 2.566, intensity 47; d 2.210, intensity 28; d 4.676, intensity 27; d 2.482, intensity 26; d 4.037, intensity 23; d 1.841, intensity 21; d 1.559, intensity 21; d 3.956, intensity 21

Structural model:
Lattice parameters (Å, degrees): 5.3997 9.4016 7.3361 90.00 93.41 90.00
Space group Cm (No. 8)
Asymmetric unit:
Mg (0.0000, 0.0000, 0.0000) [2 per cell]
Mg (0.0334, 0.3219, 0.0030) [4 per cell]
Si (0.3874, 0.3335, 0.3882) [4 per cell]
O (0.1429, 0.2505, 0.4600) [4 per cell]
O (0.1483, 0.5000, 0.8775) [2 per cell]
O (0.1922, 0.1539, 0.8775) [4 per cell]
O (0.3643, 0.0000, 0.1081) [2 per cell]
O (0.3687, 0.3337, 0.1625) [4 per cell]
O (0.3944, 0.5000, 0.4596) [2 per cell]